# 1
Structure and computed powder X-ray diffraction pattern of Na3Zn2RuO6 (a crystal structure in Alexandria, relaxed with GGA-PBE; Cu Kα, 1.54184 Å).

The 10 most intense peaks (10° ≤ 2θ ≤ 90°), most intense first:
- 2θ 16.5, I 100
- 2θ 40.2, I 84
- 2θ 35.0, I 56
- 2θ 40.1, I 42
- 2θ 59.2, I 36
- 2θ 33.6, I 34
- 2θ 57.0, I 25
- 2θ 33.4, I 23
- 2θ 74.0, I 17
- 2θ 69.8, I 13

Structural model:
Lattice parameters (Å, degrees): 5.4095 9.3569 5.6699 90.00 108.73 90.00
Space group C2/m (No. 12)
Unique sites:
1 Na 0.0000 0.0000 0.0000 (multiplicity 2)
2 Na 0.0000 0.3290 0.0000 (multiplicity 4)
3 Zn 0.0000 0.1666 0.5000 (multiplicity 4)
4 Ru 0.0000 0.5000 0.5000 (multiplicity 2)
5 O 0.2240 0.3442 0.7058 (multiplicity 8)
6 O 0.2423 0.5000 0.2966 (multiplicity 4)

# 2
Structure and computed powder X-ray diffraction pattern of Na4S2O5 (a crystal structure in Alexandria, relaxed with GGA-PBE; Cu Kα, 1.54184 Å).

The 10 most intense peaks (10° ≤ 2θ ≤ 90°), most intense first:
- 2θ 37.9, I 100
- 2θ 24.6, I 83
- 2θ 30.7, I 67
- 2θ 31.1, I 53
- 2θ 33.6, I 47
- 2θ 33.8, I 40
- 2θ 32.9, I 39
- 2θ 24.3, I 39
- 2θ 24.0, I 37
- 2θ 50.4, I 32

Structural model:
Lattice parameters (Å, degrees): 4.7524 5.3622 7.2440 88.89 88.83 64.00
Space group P1 (No. 1)
Unique sites:
1 Na 0.0000 0.0000 0.0000 (multiplicity 1)
2 Na 0.0044 0.0226 0.5062 (multiplicity 1)
3 Na 0.3560 0.3170 0.7501 (multiplicity 1)
4 Na 0.6348 0.7242 0.2401 (multiplicity 1)
5 S 0.3160 0.3345 0.2523 (multiplicity 1)
6 S 0.6866 0.6777 0.7325 (multiplicity 1)
7 O 0.0271 0.2781 0.2334 (multiplicity 1)
8 O 0.1798 0.6520 0.2834 (multiplicity 1)
9 O 0.4620 0.1858 0.4353 (multiplicity 1)
10 O 0.5788 0.8492 0.9241 (multiplicity 1)
11 O 0.8401 0.3454 0.7746 (multiplicity 1)

# 3
Structure and computed powder X-ray diffraction pattern of NaS2O4 (a crystal structure in Alexandria, relaxed with GGA-PBE; Cu Kα, 1.54184 Å).

The 10 most intense peaks (10° ≤ 2θ ≤ 90°), most intense first:
- 2θ 14.5, I 100
- 2θ 18.0, I 77
- 2θ 22.7, I 32
- 2θ 24.5, I 30
- 2θ 29.3, I 21
- 2θ 15.1, I 20
- 2θ 30.4, I 18
- 2θ 25.7, I 18
- 2θ 35.4, I 18
- 2θ 37.3, I 15

Structural model:
Lattice parameters (Å, degrees): 13.1486 6.9441 6.0275 90.00 103.04 90.00
Space group C2 (No. 5)
Unique sites:
1 Na 0.1823 0.0000 0.1422 (multiplicity 4)
2 S 0.0069 0.3590 0.2002 (multiplicity 4)
3 S 0.1649 0.4879 0.2572 (multiplicity 4)
4 O 0.0198 0.1452 0.2280 (multiplicity 4)
5 O 0.1409 0.6781 0.1559 (multiplicity 4)
6 O 0.2030 0.4823 0.5034 (multiplicity 4)
7 O 0.2213 0.3602 0.1299 (multiplicity 4)

# 4
Structure and computed powder X-ray diffraction pattern of Na2SO (a crystal structure in Alexandria, relaxed with GGA-PBE; Cu Kα, 1.54184 Å).

The 10 most intense peaks (10° ≤ 2θ ≤ 90°), most intense first:
- 2θ 19.8, I 100
- 2θ 30.8, I 60
- 2θ 40.2, I 51
- 2θ 42.2, I 24
- 2θ 54.3, I 18
- 2θ 45.2, I 17
- 2θ 45.4, I 17
- 2θ 47.8, I 15
- 2θ 58.2, I 15
- 2θ 64.2, I 11

Structural model:
Lattice parameters (Å, degrees): 8.9633 8.9633 4.2066 90.00 90.00 90.00
Space group I4_1/amd (No. 141, origin choice 2)
Unique sites:
1 Na 0.0000 0.0000 0.0000 (multiplicity 8)
2 S 0.0000 0.2500 0.3750 (multiplicity 4)
3 O 0.0000 0.2500 0.8750 (multiplicity 4)

# 5
Structure and computed powder X-ray diffraction pattern of NaSO3 (a crystal structure in Alexandria, relaxed with GGA-PBE; Cu Kα, 1.54184 Å).

The 10 most intense peaks (10° ≤ 2θ ≤ 90°), most intense first:
- 2θ 19.0, I 100
- 2θ 36.9, I 62
- 2θ 24.6, I 39
- 2θ 36.8, I 34
- 2θ 33.1, I 24
- 2θ 59.5, I 21
- 2θ 54.3, I 18
- 2θ 31.4, I 17
- 2θ 59.2, I 16
- 2θ 81.4, I 10

Structural model:
Lattice parameters (Å, degrees): 5.4075 5.4075 5.6982 90.00 90.00 120.00
Space group P-3 (No. 147)
Unique sites:
1 Na 0.3333 0.6667 0.0014 (multiplicity 2)
2 S 0.0000 0.0000 0.3065 (multiplicity 2)
3 O 0.0011 0.7373 0.7588 (multiplicity 6)

# 6
Structure and computed powder X-ray diffraction pattern of NaS5O (a crystal structure in Alexandria, relaxed with GGA-PBE; Cu Kα, 1.54184 Å).

The 10 most intense peaks (10° ≤ 2θ ≤ 90°), most intense first:
- 2θ 21.9, I 100
- 2θ 19.4, I 72
- 2θ 29.1, I 40
- 2θ 30.0, I 32
- 2θ 35.7, I 31
- 2θ 19.2, I 25
- 2θ 39.2, I 20
- 2θ 34.7, I 15
- 2θ 19.7, I 13
- 2θ 36.1, I 13

Structural model:
Lattice parameters (Å, degrees): 5.4566 7.6861 9.9747 71.07 74.99 76.44
Space group P-1 (No. 2)
Unique sites:
1 Na 0.0000 0.0000 0.0000 (multiplicity 1)
2 Na 0.5000 0.5000 0.0000 (multiplicity 1)
3 S 0.0347 0.7069 0.6319 (multiplicity 2)
4 S 0.1684 0.4152 0.8240 (multiplicity 2)
5 S 0.3331 0.2337 0.2849 (multiplicity 2)
6 S 0.3658 0.2546 0.7034 (multiplicity 2)
7 S 0.4076 0.0870 0.1391 (multiplicity 2)
8 O 0.0883 0.6449 0.0921 (multiplicity 2)

# 7
Structure and computed powder X-ray diffraction pattern of NaSbS2O8 (a crystal structure in Alexandria, relaxed with GGA-PBE; Cu Kα, 1.54184 Å).

The 10 most intense peaks (10° ≤ 2θ ≤ 90°), most intense first:
- 2θ 23.1, I 100
- 2θ 30.3, I 67
- 2θ 11.1, I 42
- 2θ 35.4, I 31
- 2θ 20.2, I 24
- 2θ 47.3, I 21
- 2θ 42.3, I 18
- 2θ 60.4, I 16
- 2θ 59.0, I 15
- 2θ 39.7, I 14

Structural model:
Lattice parameters (Å, degrees): 5.0730 5.0730 7.9494 90.00 90.00 120.00
Space group P-3 (No. 147)
Unique sites:
1 Na 0.0000 0.0000 0.0000 (multiplicity 1)
2 Sb 0.0000 0.0000 0.5000 (multiplicity 1)
3 S 0.3333 0.6667 0.7537 (multiplicity 2)
4 O 0.0719 0.3731 0.6877 (multiplicity 6)
5 O 0.3333 0.6667 0.9368 (multiplicity 2)

# 8
Structure and computed powder X-ray diffraction pattern of Na2SbSO8 (a crystal structure in Alexandria, relaxed with GGA-PBE; Cu Kα, 1.54184 Å).

The 10 most intense peaks (10° ≤ 2θ ≤ 90°), most intense first:
- 2θ 16.2, I 100
- 2θ 28.3, I 48
- 2θ 57.7, I 19
- 2θ 24.0, I 18
- 2θ 39.3, I 15
- 2θ 49.2, I 13
- 2θ 46.1, I 13
- 2θ 37.5, I 12
- 2θ 47.6, I 12
- 2θ 33.5, I 8

Structural model:
Lattice parameters (Å, degrees): 6.2996 6.2996 5.0470 90.00 90.00 120.00
Space group P-3m1 (No. 164)
Unique sites:
1 Na 0.3333 0.6667 0.1239 (multiplicity 2)
2 Sb 0.0000 0.0000 0.5000 (multiplicity 1)
3 S 0.0000 0.0000 0.0000 (multiplicity 1)
4 O 0.1253 0.2506 0.2042 (multiplicity 6)
5 O 0.3333 0.6667 0.6322 (multiplicity 2)

# 9
Structure and computed powder X-ray diffraction pattern of Na2Sb8S13O2 (a crystal structure in Alexandria, relaxed with GGA-PBE; Cu Kα, 1.54184 Å).

The 10 most intense peaks (10° ≤ 2θ ≤ 90°), most intense first:
- 2θ 28.7, I 100
- 2θ 21.3, I 49
- 2θ 30.9, I 41
- 2θ 15.3, I 38
- 2θ 23.4, I 37
- 2θ 23.9, I 36
- 2θ 27.1, I 27
- 2θ 35.0, I 23
- 2θ 36.3, I 23
- 2θ 45.4, I 21

Structural model:
Lattice parameters (Å, degrees): 9.8997 23.9906 7.5505 90.00 129.91 90.00
Space group Cm (No. 8)
Unique sites:
1 Na 0.0000 0.0831 0.0000 (multiplicity 4)
2 Sb 0.0326 0.3325 0.4604 (multiplicity 4)
3 Sb 0.3706 0.0902 0.7401 (multiplicity 4)
4 Sb 0.4343 0.3323 0.4603 (multiplicity 4)
5 Sb 0.4564 0.2533 0.9158 (multiplicity 4)
6 S 0.0496 0.0749 0.4577 (multiplicity 4)
7 S 0.1336 0.1749 0.8951 (multiplicity 4)
8 S 0.2040 0.3927 0.3998 (multiplicity 4)
9 S 0.2577 0.2286 0.5083 (multiplicity 4)
10 S 0.2594 0.3255 0.8952 (multiplicity 4)
11 S 0.4132 0.0750 0.4558 (multiplicity 4)
12 S 0.4696 0.0000 0.9414 (multiplicity 2)
13 O 0.1007 0.0000 0.9730 (multiplicity 2)
14 O 0.3769 0.5000 0.9835 (multiplicity 2)